[1]
# Pa3Ge2Rh6
Calculated powder XRD pattern, Cu Kα (λ = 1.5418 Å). Input: a DFT-relaxed cell (PBE, Alexandria).

Peak list (10 most intense, 2θ = 10–90°, low angle first)
2θ = 30.57°, I 230
2θ = 33.57°, I 443
2θ = 36.35°, I 323
2θ = 38.96°, I 183
2θ = 41.43°, I 1000
2θ = 54.34°, I 202
2θ = 61.85°, I 154
2θ = 67.14°, I 210
2θ = 75.56°, I 207
2θ = 85.26°, I 194

Structural model:
```
Pa3Ge2Rh6
1.0
-4.624 4.624 4.624
4.624 -4.624 4.624
4.624 4.624 -4.624
Pa Ge Rh
6 4 12
Direct
0.000 0.279 0.279
0.000 0.721 0.721
0.279 0.000 0.279
0.279 0.279 0.000
0.721 0.000 0.721
0.721 0.721 0.000
0.000 0.000 0.500
0.000 0.500 0.000
0.500 0.000 0.000
0.500 0.500 0.500
0.000 0.349 0.651
0.000 0.651 0.349
0.303 0.651 0.651
0.349 0.000 0.651
0.349 0.349 0.697
0.349 0.651 0.000
0.349 0.697 0.349
0.651 0.000 0.349
0.651 0.303 0.651
0.651 0.349 0.000
0.651 0.651 0.303
0.697 0.349 0.349
```

[2]
# TePd3
Calculated powder XRD pattern, Cu Kα (λ = 1.5418 Å). Input: a DFT-relaxed cell (PBE, Alexandria).

Peak list (10 most intense, 2θ = 10–90°, low angle first)
2θ = 30.75°, I 295
2θ = 35.04°, I 524
2θ = 37.18°, I 578
2θ = 37.98°, I 525
2θ = 38.44°, I 473
2θ = 38.91°, I 1000
2θ = 41.62°, I 514
2θ = 43.76°, I 313
2θ = 45.42°, I 461
2θ = 72.85°, I 318

Structural model:
```
TePd3
1.0
10.814 0.000 0.000
0.000 10.814 0.000
0.000 0.000 4.920
Te Pd
8 24
Direct
0.026 0.197 0.037
0.197 0.474 0.463
0.303 0.026 0.463
0.474 0.303 0.037
0.526 0.697 0.963
0.697 0.974 0.537
0.803 0.526 0.537
0.974 0.803 0.963
0.025 0.577 0.779
0.077 0.975 0.279
0.121 0.216 0.532
0.133 0.699 0.304
0.199 0.867 0.804
0.216 0.379 0.968
0.284 0.121 0.968
0.301 0.633 0.804
0.367 0.801 0.304
0.379 0.284 0.532
0.423 0.525 0.279
0.475 0.923 0.779
0.525 0.077 0.221
0.577 0.475 0.721
0.621 0.716 0.468
0.633 0.199 0.696
0.699 0.367 0.196
0.716 0.879 0.032
0.784 0.621 0.032
0.801 0.133 0.196
0.867 0.301 0.696
0.879 0.784 0.468
0.923 0.025 0.721
0.975 0.423 0.221
```

[3]
# Rb2Li14Pb3O14
Calculated powder XRD pattern, Cu Kα (λ = 1.5418 Å). Input: a DFT-relaxed cell (PBE, Alexandria).

Peak list (10 most intense, 2θ = 10–90°, low angle first)
2θ = 16.24°, I 1000
2θ = 21.93°, I 419
2θ = 23.75°, I 160
2θ = 27.37°, I 347
2θ = 31.96°, I 244
2θ = 33.71°, I 285
2θ = 35.33°, I 513
2θ = 38.23°, I 211
2θ = 45.27°, I 179
2θ = 56.45°, I 151

Structural model:
```
Rb2Li14Pb3O14
1.0
-3.691 4.054 6.524
3.691 -4.054 6.524
3.691 4.054 -6.524
Rb Li Pb O
2 14 3 14
Direct
0.000 0.235 0.235
0.000 0.765 0.765
0.085 0.231 0.854
0.210 0.137 0.616
0.210 0.594 0.073
0.341 0.500 0.841
0.377 0.231 0.146
0.479 0.406 0.616
0.479 0.863 0.073
0.521 0.137 0.927
0.521 0.594 0.384
0.623 0.769 0.854
0.659 0.500 0.159
0.790 0.406 0.927
0.790 0.863 0.384
0.915 0.769 0.146
0.228 0.728 0.500
0.500 0.000 0.500
0.772 0.272 0.500
0.089 0.371 0.718
0.187 0.873 0.314
0.249 0.041 0.792
0.249 0.457 0.208
0.347 0.629 0.718
0.441 0.127 0.314
0.500 0.295 0.795
0.500 0.705 0.205
0.559 0.873 0.686
0.653 0.371 0.282
0.751 0.543 0.792
0.751 0.959 0.208
0.813 0.127 0.686
0.911 0.629 0.282
```

[4]
# AcW2N6
Calculated powder XRD pattern, Cu Kα (λ = 1.5418 Å). Input: a DFT-relaxed cell (PBE, Alexandria).

Peak list (10 most intense, 2θ = 10–90°, low angle first)
2θ = 26.55°, I 1000
2θ = 32.44°, I 564
2θ = 38.17°, I 102
2θ = 42.39°, I 290
2θ = 50.94°, I 396
2θ = 54.37°, I 287
2θ = 57.86°, I 127
2θ = 62.17°, I 95
2θ = 71.45°, I 132
2θ = 74.31°, I 116

Structural model:
```
AcW2N6
1.0
5.520 0.000 0.000
-2.760 4.781 0.000
0.000 0.000 4.715
Ac W N
1 2 6
Direct
0.000 0.000 0.000
0.333 0.667 0.500
0.667 0.333 0.500
0.000 0.436 0.747
0.000 0.564 0.253
0.436 0.000 0.747
0.436 0.436 0.253
0.564 0.000 0.253
0.564 0.564 0.747
```

[5]
# SrBF
Calculated powder XRD pattern, Cu Kα (λ = 1.5418 Å). Input: a DFT-relaxed cell (PBE, Alexandria).

Peak list (10 most intense, 2θ = 10–90°, low angle first)
2θ = 12.52°, I 364
2θ = 21.95°, I 577
2θ = 25.19°, I 290
2θ = 28.36°, I 1000
2θ = 29.54°, I 538
2θ = 29.81°, I 540
2θ = 39.57°, I 256
2θ = 42.79°, I 322
2θ = 47.13°, I 371
2θ = 47.57°, I 434

Structural model:
```
SrBF
1.0
7.070 -2.113 0.000
7.070 2.113 0.000
-0.038 0.000 3.327
Sr B F
2 2 2
Direct
0.140 0.140 0.245
0.860 0.860 0.755
0.494 0.494 0.251
0.506 0.506 0.749
0.263 0.263 0.751
0.737 0.737 0.249
```

[6]
# B7C5
Calculated powder XRD pattern, Cu Kα (λ = 1.5418 Å). Input: a DFT-relaxed cell (PBE, Alexandria).

Peak list (10 most intense, 2θ = 10–90°, low angle first)
2θ = 10.45°, I 256
2θ = 20.99°, I 266
2θ = 31.40°, I 101
2θ = 39.59°, I 1000
2θ = 40.27°, I 95
2θ = 41.47°, I 814
2θ = 68.91°, I 427
2θ = 71.50°, I 129
2θ = 83.74°, I 113
2θ = 84.95°, I 145

Structural model:
```
B7C5
1.0
2.639 0.000 0.000
0.000 8.463 0.000
0.000 0.000 3.854
B C
7 5
Direct
0.000 0.000 0.000
0.000 0.199 0.241
0.000 0.801 0.241
0.500 0.121 0.477
0.500 0.369 0.780
0.500 0.631 0.780
0.500 0.879 0.477
0.000 0.344 0.003
0.000 0.500 0.257
0.000 0.656 0.003
0.500 0.000 0.778
0.500 0.500 0.482
```

[7]
# Sc3Mn3Al7Si5
Calculated powder XRD pattern, Cu Kα (λ = 1.5418 Å). Input: a DFT-relaxed cell (PBE, Alexandria).

Peak list (10 most intense, 2θ = 10–90°, low angle first)
2θ = 12.29°, I 560
2θ = 31.87°, I 165
2θ = 38.69°, I 587
2θ = 38.83°, I 374
2θ = 39.16°, I 933
2θ = 40.22°, I 263
2θ = 43.53°, I 1000
2θ = 47.78°, I 263
2θ = 48.25°, I 295
2θ = 49.98°, I 161

Structural model:
```
Sc3Mn3Al7Si5
1.0
8.316 0.000 0.000
-4.158 7.202 0.000
0.000 0.000 8.969
Sc Mn Al Si
6 6 14 10
Direct
0.200 0.401 0.250
0.200 0.800 0.250
0.401 0.200 0.750
0.599 0.800 0.250
0.800 0.200 0.750
0.800 0.599 0.750
0.000 0.500 0.000
0.000 0.500 0.500
0.500 0.000 0.000
0.500 0.000 0.500
0.500 0.500 0.000
0.500 0.500 0.500
0.000 0.000 0.250
0.000 0.000 0.750
0.164 0.328 0.580
0.164 0.328 0.920
0.164 0.836 0.580
0.164 0.836 0.920
0.328 0.164 0.080
0.328 0.164 0.420
0.672 0.836 0.580
0.672 0.836 0.920
0.836 0.164 0.080
0.836 0.164 0.420
0.836 0.672 0.080
0.836 0.672 0.420
0.119 0.560 0.750
0.333 0.667 0.040
0.333 0.667 0.460
0.440 0.560 0.750
0.440 0.881 0.750
0.560 0.119 0.250
0.560 0.440 0.250
0.667 0.333 0.540
0.667 0.333 0.960
0.881 0.440 0.250
```

[8]
# Li5P2
Calculated powder XRD pattern, Cu Kα (λ = 1.5418 Å). Input: a DFT-relaxed cell (PBE, Alexandria).

Peak list (10 most intense, 2θ = 10–90°, low angle first)
2θ = 26.40°, I 1000
2θ = 28.50°, I 165
2θ = 29.46°, I 161
2θ = 33.55°, I 133
2θ = 41.45°, I 267
2θ = 44.58°, I 226
2θ = 45.24°, I 223
2θ = 49.20°, I 208
2θ = 50.42°, I 183
2θ = 55.77°, I 100

Structural model:
```
Li5P2
1.0
-3.132 6.065 2.671
3.132 -6.065 2.671
3.132 6.065 -2.671
Li P
10 4
Direct
0.011 0.250 0.761
0.081 0.651 0.732
0.250 0.250 0.000
0.419 0.151 0.570
0.489 0.250 0.239
0.511 0.750 0.761
0.581 0.849 0.430
0.750 0.750 0.000
0.919 0.349 0.268
0.989 0.750 0.239
0.124 0.256 0.380
0.376 0.756 0.132
0.624 0.244 0.868
0.876 0.744 0.620
```